1.
Diffraction record for KNdCd. The X-ray powder pattern is theoretical, not measured: it uses DFT lattice parameters and positions (PBE) and Cu Kα.
Lines closer than 0.1° are merged.

Crystal structure
```
12
Lattice="18.2537 0.0000 0.0000 0.0000 3.7596 0.0000 0.0000 0.0000 6.5007" Properties=species:S:1:pos:R:3 pbc="T T T"
K 2.9640 0.0000 0.0000
K 2.9640 1.8798 3.2504
K 15.2897 0.0000 0.0000
K 15.2897 1.8798 3.2504
Nd 6.6272 0.0000 4.3369
Nd 6.6272 1.8798 1.0865
Nd 11.6265 0.0000 4.3369
Nd 11.6265 1.8798 1.0865
Cd 0.0000 0.0000 4.3124
Cd 0.0000 1.8798 1.0621
Cd 9.1268 0.0000 0.0098
Cd 9.1268 1.8798 3.2602
```

Main lines, low angle first (10° ≤ 2θ ≤ 90°):
d_spacing, 2theta, Rel. int.
3.253, 27.4, 36
3.042, 29.4, 16
2.869, 31.2, 100
2.649, 33.8, 14
2.429, 37.0, 21
1.878, 48.5, 21
1.868, 48.7, 15
1.571, 58.8, 16


2.
Diffraction record for KCd2Ni. The X-ray powder pattern is theoretical, not measured: it uses DFT lattice parameters and positions (PBE) and Cu Kα.
Lines closer than 0.1° are merged.

Crystal structure
```
16
Lattice="5.6608 0.0000 0.0000 0.0000 5.6608 0.0000 0.0000 0.0000 16.9457" Properties=species:S:1:pos:R:3 pbc="T T T"
K 0.0000 1.4152 6.3546
K 0.0000 4.2456 10.5910
K 2.8304 1.4152 2.1182
K 2.8304 4.2456 14.8275
Cd 0.0000 0.0000 0.0000
Cd 0.0000 2.8304 0.0000
Cd 1.4152 1.4152 12.7093
Cd 1.4152 4.2456 4.2364
Cd 2.8304 0.0000 8.4728
Cd 2.8304 2.8304 8.4728
Cd 4.2456 1.4152 12.7093
Cd 4.2456 4.2456 4.2364
Ni 0.0000 1.4152 14.8275
Ni 0.0000 4.2456 2.1182
Ni 2.8304 1.4152 10.5910
Ni 2.8304 4.2456 6.3546
```

Main lines, low angle first (10° ≤ 2θ ≤ 90°):
d_spacing, 2theta, Rel. int.
5.369, 16.5, 100
3.998, 22.2, 28
3.619, 24.6, 26
2.685, 33.4, 54
2.504, 35.9, 16
2.310, 39.0, 31
2.000, 45.4, 26
1.810, 50.4, 34


3.
Diffraction record for K4Np3CdSe8. The X-ray powder pattern is theoretical, not measured: it uses DFT lattice parameters and positions (PBE) and Cu Kα.
Lines closer than 0.1° are merged.

Crystal structure
```
16
Lattice="4.2564 2.4574 7.6480 -4.2564 2.4574 7.6480 0.0000 -4.9149 7.6480" Properties=species:S:1:pos:R:3 pbc="T T T"
K 0.0000 0.0000 0.0000
K -2.1282 -1.2287 7.6480
K -2.1282 1.2287 15.2960
K 0.0000 2.4574 7.6480
Np -4.2564 0.0000 11.4720
Np -2.1282 1.2287 3.8240
Np 2.1282 1.2287 3.8240
Cd 0.0000 0.0000 11.4720
Se -2.1499 -1.2412 13.0332
Se 0.0000 0.0000 5.3853
Se 0.0000 -2.4825 9.9109
Se -2.1499 1.2412 9.9109
Se 2.1499 -1.2412 13.0332
Se 0.0000 2.4825 13.0332
Se 0.0000 0.0000 17.5588
Se 2.1499 1.2412 9.9109
```

Main lines, low angle first (10° ≤ 2θ ≤ 90°):
d_spacing, 2theta, Rel. int.
7.648, 11.6, 72
3.639, 24.5, 20
3.101, 28.8, 100
2.449, 36.7, 23
2.264, 39.8, 35
2.128, 42.5, 37
2.050, 44.2, 18
1.755, 52.1, 19